[1]
# Li3Ga2
Theoretical X-ray powder pattern, Cu Kα, 1.54184 Å. Input: a GGA-PBE-relaxed structure.
Neutral-atom scattering factors, no anomalous dispersion.

Most intense lines, 2θ from 5° to 70°, sorted by position:
19.23 deg, intensity 74, hkl 0 0 3; 24.39 deg, intensity 18, hkl 1 0 1; 26.86 deg, intensity 100, hkl 0 1 2; 40.36 deg, intensity 72, hkl 0 1 5; 41.34 deg, intensity 67, hkl 1 1 0; 45.97 deg, intensity 45, hkl 1 1 3; 49.98 deg, intensity 18, hkl 2 0 2; 52.18 deg, intensity 16, hkl 1 0 7; 59.15 deg, intensity 23, hkl 2 0 5; 66.80 deg, intensity 14, hkl 1 2 2

a b c (Å): 4.3685 4.3685 13.8460
angles (deg): 90.00 90.00 120.00
Space group R-3m (No. 166, hexagonal axes)
Unique sites:
Li1 0.0000 0.0000 0.0000 x3
Li2 0.0000 0.0000 0.4040 x6
Ga1 0.0000 0.0000 0.2006 x6

=====

[2]
# LiNd6B3O13F2
Theoretical X-ray powder pattern, Cu Kα, 1.54184 Å. Input: a GGA-PBE-relaxed structure.
Neutral-atom scattering factors, no anomalous dispersion.

Most intense lines, 2θ from 5° to 70°, sorted by position:
22.70 deg, intensity 43, hkl 0 0 4; 25.38 deg, intensity 35, hkl 3 1 -1; 26.03 deg, intensity 84, hkl 3 1 0; 27.86 deg, intensity 20, hkl 3 1 -3; 30.70 deg, intensity 100, hkl 3 1 -4; 34.33 deg, intensity 38, hkl 0 0 6; 44.77 deg, intensity 36, hkl 3 3 -1; 48.23 deg, intensity 49, hkl 3 1 -8; 50.77 deg, intensity 21, hkl 3 3 3; 57.61 deg, intensity 19, hkl 3 3 -7

a b c (Å): 12.174 7.006 16.191
angles (deg): 90.00 104.63 90.00
Space group C2/c (No. 15)
Unique sites:
Li1 0.000 0.081 0.250 x4
Nd1 0.049 0.430 0.401 x8
Nd2 0.133 0.098 0.611 x8
Nd3 0.219 0.086 0.904 x8
B1 0.000 0.286 0.750 x4
B2 0.181 0.266 0.249 x8
O1 0.000 0.481 0.750 x4
O2 0.024 0.186 0.827 x8
O3 0.100 0.206 0.177 x8
O4 0.104 0.419 0.559 x8
O5 0.168 0.226 0.331 x8
O6 0.224 0.137 0.758 x8
O7 0.231 0.416 0.940 x8
F1 0.067 0.083 0.455 x8

=====

[3]
# Mg3P2O8
Theoretical X-ray powder pattern, Cu Kα, 1.54184 Å. Input: a GGA-PBE-relaxed structure.
Neutral-atom scattering factors, no anomalous dispersion.

Most intense lines, 2θ from 5° to 70°, sorted by position:
20.13 deg, intensity 27, hkl 1 0 0; 21.31 deg, intensity 23, hkl 0 2 0; 21.56 deg, intensity 25, hkl 1 0 -2; 22.80 deg, intensity 85, hkl 1 1 0; 24.09 deg, intensity 26, hkl 1 1 -2; 25.45 deg, intensity 100, hkl 0 1 2; 35.13 deg, intensity 21, hkl 2 0 -2; 35.41 deg, intensity 23, hkl 1 2 1; 36.81 deg, intensity 26, hkl 1 3 -1; 41.92 deg, intensity 24, hkl 1 1 -4

a b c (Å): 5.122 8.340 8.954
angles (deg): 90.00 120.55 90.00
Space group P2_1/c (No. 14)
Unique sites:
Mg1 0.000 0.000 0.000 x2
Mg2 0.016 0.144 0.608 x4
P1 0.331 0.695 0.298 x4
O1 0.178 0.637 0.737 x4
O2 0.189 0.575 0.143 x4
O3 0.253 0.645 0.438 x4
O4 0.323 0.198 0.126 x4

=====

[4]
# La4B2N5
Theoretical X-ray powder pattern, Cu Kα, 1.54184 Å. Input: a GGA-PBE-relaxed structure.
Neutral-atom scattering factors, no anomalous dispersion.

Most intense lines, 2θ from 5° to 70°, sorted by position:
26.08 deg, intensity 29, hkl 1 1 -1; 28.07 deg, intensity 63, hkl 2 0 1; 28.31 deg, intensity 56, hkl 4 0 -2; 29.73 deg, intensity 53, hkl 2 0 -3; 31.88 deg, intensity 100, hkl 1 1 -2; 32.66 deg, intensity 91, hkl 3 1 -1; 36.89 deg, intensity 33, hkl 3 1 0; 48.76 deg, intensity 42, hkl 5 1 -4; 51.60 deg, intensity 36, hkl 1 1 3; 57.99 deg, intensity 28, hkl 4 0 2

a b c (Å): 12.638 3.685 9.190
angles (deg): 90.00 129.55 90.00
Space group C2/m (No. 12)
Unique sites:
La1 0.077 0.000 0.345 x4
La2 0.188 0.500 0.114 x4
B1 0.088 0.500 0.610 x4
N1 0.000 0.000 0.000 x2
N2 0.117 0.500 0.794 x4
N3 0.201 0.500 0.601 x4

=====

[5]
# Re2NiMo2S8
Theoretical X-ray powder pattern, Cu Kα, 1.54184 Å. Input: a GGA-PBE-relaxed structure.
Neutral-atom scattering factors, no anomalous dispersion.

Most intense lines, 2θ from 5° to 70°, sorted by position:
15.81 deg, intensity 100, hkl 0 1 1; 15.99 deg, intensity 27, hkl 1 0 1; 18.38 deg, intensity 40, hkl 0 0 2; 30.71 deg, intensity 33, hkl 0 1 3; 30.85 deg, intensity 47, hkl 2 1 1; 37.26 deg, intensity 76, hkl 0 0 4; 40.86 deg, intensity 20, hkl 2 1 3; 48.86 deg, intensity 21, hkl 2 3 1; 49.05 deg, intensity 18, hkl 0 1 5; 53.72 deg, intensity 40, hkl 2 2 4

a b c (Å): 6.773 6.885 9.647
angles (deg): 90.00 90.00 90.00
Space group Imm2 (No. 44)
Unique sites:
Re1 0.208 0.000 0.000 x4
Ni1 0.000 0.000 0.605 x2
Mo1 0.000 0.207 0.208 x4
S1 0.000 0.269 0.967 x4
S2 0.000 0.273 0.474 x4
S3 0.227 0.500 0.739 x4
S4 0.236 0.500 0.241 x4

=====

[6]
# YMg7
Theoretical X-ray powder pattern, Cu Kα, 1.54184 Å. Input: a GGA-PBE-relaxed structure.
Neutral-atom scattering factors, no anomalous dispersion.

Most intense lines, 2θ from 5° to 70°, sorted by position:
15.47 deg, intensity 29, hkl 1 0 0; 23.16 deg, intensity 25, hkl 1 0 1; 31.23 deg, intensity 28, hkl 2 0 0; 34.66 deg, intensity 24, hkl 0 0 2; 35.83 deg, intensity 100, hkl 2 0 1; 47.34 deg, intensity 17, hkl 2 0 2; 55.58 deg, intensity 20, hkl 2 2 0; 62.88 deg, intensity 18, hkl 2 0 3; 67.17 deg, intensity 19, hkl 2 2 2; 67.90 deg, intensity 14, hkl 4 0 1

a b c (Å): 6.6152 6.6152 5.1765
angles (deg): 90.00 90.00 120.00
Space group P-6m2 (No. 187)
Unique sites:
Y1 0.0000 0.0000 0.0000 x1
Mg1 0.0048 0.5024 0.0000 x3
Mg2 0.1687 0.3374 0.5000 x3
Mg3 0.6667 0.3333 0.5000 x1

=====

[7]
# La4GeO8
Theoretical X-ray powder pattern, Cu Kα, 1.54184 Å. Input: a GGA-PBE-relaxed structure.
Neutral-atom scattering factors, no anomalous dispersion.

Most intense lines, 2θ from 5° to 70°, sorted by position:
28.13 deg, intensity 100, hkl 1 2 1; 28.59 deg, intensity 97, hkl 5 0 1; 30.25 deg, intensity 29, hkl 4 2 0; 30.45 deg, intensity 32, hkl 0 0 2; 37.45 deg, intensity 15, hkl 6 2 0; 43.45 deg, intensity 46, hkl 4 2 2; 47.21 deg, intensity 18, hkl 0 4 0; 49.00 deg, intensity 17, hkl 6 2 2; 52.97 deg, intensity 37, hkl 5 0 3; 56.12 deg, intensity 29, hkl 5 4 1

a b c (Å): 18.437 7.701 5.872
angles (deg): 90.00 90.00 90.00
Space group Pnma (No. 62)
Unique sites:
La1 0.012 0.250 0.019 x4
La2 0.102 0.009 0.523 x8
La3 0.217 0.250 0.041 x4
Ge1 0.191 0.750 0.004 x4
O1 0.005 0.517 0.259 x8
O2 0.116 0.250 0.263 x4
O3 0.117 0.750 0.809 x4
O4 0.124 0.250 0.772 x4
O5 0.164 0.750 0.294 x4
O6 0.242 0.562 0.926 x8

=====

[8]
# Mg14TiC
Theoretical X-ray powder pattern, Cu Kα, 1.54184 Å. Input: a GGA-PBE-relaxed structure.
Neutral-atom scattering factors, no anomalous dispersion.

Most intense lines, 2θ from 5° to 70°, sorted by position:
18.66 deg, intensity 5, hkl 1 0 1; 29.86 deg, intensity 3, hkl 1 1 1; 32.05 deg, intensity 4, hkl 1 0 3; 32.89 deg, intensity 25, hkl 2 0 0; 36.84 deg, intensity 23, hkl 0 0 4; 37.84 deg, intensity 100, hkl 2 0 2; 50.21 deg, intensity 14, hkl 2 0 4; 58.73 deg, intensity 17, hkl 2 2 0; 67.02 deg, intensity 15, hkl 2 0 6; 68.98 deg, intensity 2, hkl 4 0 0

a b c (Å): 6.2882 6.2882 9.7589
angles (deg): 90.00 90.00 120.00
Space group P-6m2 (No. 187)
Unique sites:
Mg1 0.0000 0.0000 0.2423 x2
Mg2 0.0215 0.5108 0.2648 x6
Mg3 0.3261 0.1631 0.5000 x3
Mg4 0.3437 0.1719 0.0000 x3
Ti1 0.3333 0.6667 0.0000 x1
C1 0.3333 0.6667 0.5000 x1

=====

Copy entry 4 word for word.
# La4B2N5
Theoretical X-ray powder pattern, Cu Kα, 1.54184 Å. Input: a GGA-PBE-relaxed structure.
Neutral-atom scattering factors, no anomalous dispersion.

Most intense lines, 2θ from 5° to 70°, sorted by position:
26.08 deg, intensity 29, hkl 1 1 -1; 28.07 deg, intensity 63, hkl 2 0 1; 28.31 deg, intensity 56, hkl 4 0 -2; 29.73 deg, intensity 53, hkl 2 0 -3; 31.88 deg, intensity 100, hkl 1 1 -2; 32.66 deg, intensity 91, hkl 3 1 -1; 36.89 deg, intensity 33, hkl 3 1 0; 48.76 deg, intensity 42, hkl 5 1 -4; 51.60 deg, intensity 36, hkl 1 1 3; 57.99 deg, intensity 28, hkl 4 0 2

a b c (Å): 12.638 3.685 9.190
angles (deg): 90.00 129.55 90.00
Space group C2/m (No. 12)
Unique sites:
La1 0.077 0.000 0.345 x4
La2 0.188 0.500 0.114 x4
B1 0.088 0.500 0.610 x4
N1 0.000 0.000 0.000 x2
N2 0.117 0.500 0.794 x4
N3 0.201 0.500 0.601 x4

=====

What did the fifth record say?
# Re2NiMo2S8
Theoretical X-ray powder pattern, Cu Kα, 1.54184 Å. Input: a GGA-PBE-relaxed structure.
Neutral-atom scattering factors, no anomalous dispersion.

Most intense lines, 2θ from 5° to 70°, sorted by position:
15.81 deg, intensity 100, hkl 0 1 1; 15.99 deg, intensity 27, hkl 1 0 1; 18.38 deg, intensity 40, hkl 0 0 2; 30.71 deg, intensity 33, hkl 0 1 3; 30.85 deg, intensity 47, hkl 2 1 1; 37.26 deg, intensity 76, hkl 0 0 4; 40.86 deg, intensity 20, hkl 2 1 3; 48.86 deg, intensity 21, hkl 2 3 1; 49.05 deg, intensity 18, hkl 0 1 5; 53.72 deg, intensity 40, hkl 2 2 4

a b c (Å): 6.773 6.885 9.647
angles (deg): 90.00 90.00 90.00
Space group Imm2 (No. 44)
Unique sites:
Re1 0.208 0.000 0.000 x4
Ni1 0.000 0.000 0.605 x2
Mo1 0.000 0.207 0.208 x4
S1 0.000 0.269 0.967 x4
S2 0.000 0.273 0.474 x4
S3 0.227 0.500 0.739 x4
S4 0.236 0.500 0.241 x4